No. 1
For Ca2GaHg2, a crystal structure in Alexandria, relaxed with GGA-PBE gives the simulated powder XRD pattern in this record (CuKα).

Principal peaks in the range 2θ from 10° to 90°, by intensity:
- 2θ = 21.3°, I = 100, (1 1 0)
- 2θ = 36.9°, I = 95, (3 1 1)
- 2θ = 30.9°, I = 85, (1 1 -3)
- 2θ = 24.5°, I = 60, (2 0 -3)
- 2θ = 39.4°, I = 45, (0 2 0)
- 2θ = 22.6°, I = 38, (2 0 1)
- 2θ = 34.3°, I = 36, (3 1 -3)
- 2θ = 31.6°, I = 35, (4 0 -2)

Cell and atoms:
abc: 11.3552 4.5728 11.2641
angles: 90.00 115.60 90.00
Space group C2/m (No. 12)
Unique sites:
Ca 0.0149 0.0000 0.3418 (multiplicity 4)
Ca 0.1872 0.0000 0.1077 (multiplicity 4)
Ga 0.2185 0.5000 0.3368 (multiplicity 4)
Hg 0.0293 0.5000 0.8812 (multiplicity 4)
Hg 0.1477 0.5000 0.5680 (multiplicity 4)

=====

No. 2
For Ca2Ga3Hg, a crystal structure in Alexandria, relaxed with GGA-PBE gives the simulated powder XRD pattern in this record (CuKα).

Principal peaks in the range 2θ from 10° to 90°, by intensity:
- 2θ = 32.5°, I = 100, (2 2 2)
- 2θ = 39.4°, I = 57, (0 2 6)
- 2θ = 23.3°, I = 49, (2 0 0)
- 2θ = 46.2°, I = 49, (2 4 0)
- 2θ = 63.4°, I = 41, (4 4 0)
- 2θ = 39.3°, I = 29, (0 4 0)
- 2θ = 22.7°, I = 29, (1 1 3)
- 2θ = 22.4°, I = 22, (0 2 2)

Cell and atoms:
abc: 7.6372 9.1750 15.8377
angles: 90.00 90.00 90.00
Space group Fmmm (No. 69)
Unique sites:
Ca 0.2426 0.0000 0.0000 (multiplicity 8)
Ca 0.2500 0.2500 0.2500 (multiplicity 8)
Ga 0.0000 0.0000 0.3387 (multiplicity 8)
Ga 0.0000 0.2419 0.4190 (multiplicity 16)
Hg 0.0000 0.0000 0.1675 (multiplicity 8)

=====

No. 3
For Ca8Ga2Hg, a crystal structure in Alexandria, relaxed with GGA-PBE gives the simulated powder XRD pattern in this record (CuKα).

Principal peaks in the range 2θ from 10° to 90°, by intensity:
- 2θ = 29.5°, I = 100, (5 1 -1)
- 2θ = 32.4°, I = 73, (1 1 2)
- 2θ = 33.9°, I = 57, (5 1 -2)
- 2θ = 34.1°, I = 56, (0 2 0)
- 2θ = 20.7°, I = 48, (1 1 -1)
- 2θ = 18.5°, I = 44, (2 0 1)
- 2θ = 22.6°, I = 43, (3 1 0)
- 2θ = 40.2°, I = 37, (3 1 -3)

Cell and atoms:
abc: 18.8372 5.2628 7.4598
angles: 90.00 109.46 90.00
Space group C2/m (No. 12)
Unique sites:
Ca 0.0313 0.0000 0.2860 (multiplicity 4)
Ca 0.0983 0.5000 0.9561 (multiplicity 4)
Ca 0.1704 0.5000 0.4606 (multiplicity 4)
Ca 0.2017 0.0000 0.8093 (multiplicity 4)
Ga 0.1816 0.0000 0.2000 (multiplicity 4)
Hg 0.0000 0.5000 0.5000 (multiplicity 2)

=====

No. 4
For CaMg2GaHg2, a crystal structure in Alexandria, relaxed with GGA-PBE gives the simulated powder XRD pattern in this record (CuKα).

Principal peaks in the range 2θ from 10° to 90°, by intensity:
- 2θ = 20.7°, I = 100, (1 0 1)
- 2θ = 25.3°, I = 98, (1 0 3)
- 2θ = 28.5°, I = 68, (1 1 0)
- 2θ = 42.5°, I = 46, (1 1 6)
- 2θ = 41.7°, I = 42, (1 0 7)
- 2θ = 40.7°, I = 39, (2 0 0)
- 2θ = 59.7°, I = 39, (2 1 7)
- 2θ = 48.6°, I = 35, (2 1 3)

Cell and atoms:
abc: 4.4312 4.4312 17.3754
angles: 90.00 90.00 90.00
Space group I4/mmm (No. 139)
Unique sites:
Ca 0.0000 0.0000 0.0000 (multiplicity 2)
Mg 0.0000 0.5000 0.2500 (multiplicity 4)
Ga 0.0000 0.0000 0.5000 (multiplicity 2)
Hg 0.0000 0.0000 0.3533 (multiplicity 4)

=====

No. 5
For CaHo2Ga4, a crystal structure in Alexandria, relaxed with GGA-PBE gives the simulated powder XRD pattern in this record (CuKα).

Principal peaks in the range 2θ from 10° to 90°, by intensity:
- 2θ = 31.5°, I = 100, (1 1 2)
- 2θ = 42.3°, I = 53, (1 1 6)
- 2θ = 32.0°, I = 49, (0 1 5)
- 2θ = 41.8°, I = 30, (0 2 0)
- 2θ = 29.9°, I = 27, (1 1 0)
- 2θ = 40.7°, I = 27, (1 0 7)
- 2θ = 43.7°, I = 26, (2 0 0)
- 2θ = 59.8°, I = 23, (1 2 7)

Cell and atoms:
abc: 4.1417 4.3175 18.3558
angles: 90.00 90.00 90.00
Space group Immm (No. 71)
Unique sites:
Ca 0.0000 0.0000 0.0000 (multiplicity 2)
Ho 0.0000 0.5000 0.3143 (multiplicity 4)
Ga 0.0000 0.0000 0.4322 (multiplicity 4)
Ga 0.0000 0.5000 0.1499 (multiplicity 4)

=====

No. 6
For CaHoInGa, a crystal structure in Alexandria, relaxed with GGA-PBE gives the simulated powder XRD pattern in this record (CuKα).

Principal peaks in the range 2θ from 10° to 90°, by intensity:
- 2θ = 34.2°, I = 100, (2 2 0)
- 2θ = 61.2°, I = 36, (4 2 2)
- 2θ = 20.7°, I = 24, (1 1 1)
- 2θ = 49.1°, I = 18, (4 0 0)
- 2θ = 82.1°, I = 15, (6 2 0)
- 2θ = 40.3°, I = 13, (3 1 1)
- 2θ = 71.9°, I = 11, (4 4 0)
- 2θ = 53.8°, I = 6, (3 3 1)

Cell and atoms:
abc: 7.4240 7.4240 7.4240
angles: 90.00 90.00 90.00
Space group F-43m (No. 216)
Unique sites:
Ca 0.0000 0.0000 0.0000 (multiplicity 4)
Ho 0.0000 0.0000 0.5000 (multiplicity 4)
In 0.2500 0.2500 0.7500 (multiplicity 4)
Ga 0.2500 0.2500 0.2500 (multiplicity 4)

=====

No. 7
For CaHoGa2Pd5, a crystal structure in Alexandria, relaxed with GGA-PBE gives the simulated powder XRD pattern in this record (CuKα).

Principal peaks in the range 2θ from 10° to 90°, by intensity:
- 2θ = 35.8°, I = 100, (1 1 2)
- 2θ = 42.6°, I = 49, (2 0 0)
- 2θ = 73.6°, I = 24, (3 1 2)
- 2θ = 36.4°, I = 23, (1 0 3)
- 2θ = 61.8°, I = 16, (2 2 0)
- 2θ = 59.6°, I = 13, (2 0 4)
- 2θ = 57.3°, I = 13, (2 1 3)
- 2θ = 69.4°, I = 12, (1 1 6)

Cell and atoms:
abc: 4.2452 4.2452 9.0976
angles: 90.00 90.00 90.00
Space group P4/mmm (No. 123)
Unique sites:
Ca 0.0000 0.0000 0.0000 (multiplicity 1)
Ho 0.0000 0.0000 0.5000 (multiplicity 1)
Ga 0.5000 0.5000 0.3644 (multiplicity 2)
Pd 0.0000 0.5000 0.2277 (multiplicity 4)
Pd 0.5000 0.5000 0.0000 (multiplicity 1)

=====

No. 8
For Ca5Ga2I2, a crystal structure in Alexandria, relaxed with GGA-PBE gives the simulated powder XRD pattern in this record (CuKα).

Principal peaks in the range 2θ from 10° to 90°, by intensity:
- 2θ = 30.6°, I = 100, (0 2 2)
- 2θ = 34.7°, I = 66, (1 3 1)
- 2θ = 24.1°, I = 58, (2 2 0)
- 2θ = 32.5°, I = 58, (4 2 1)
- 2θ = 21.5°, I = 57, (0 0 2)
- 2θ = 61.7°, I = 48, (9 3 1)
- 2θ = 22.2°, I = 46, (3 1 1)
- 2θ = 31.0°, I = 44, (5 1 1)

Cell and atoms:
abc: 16.5566 8.2559 8.2802
angles: 90.00 90.00 90.00
Space group Cmce (No. 64)
Unique sites:
Ca 0.0000 0.0000 0.0000 (multiplicity 4)
Ca 0.1142 0.1642 0.3371 (multiplicity 16)
Ga 0.0000 0.1281 0.6277 (multiplicity 8)
I 0.2136 0.0000 0.0000 (multiplicity 8)